No. 1
This entry pairs a crystal structure of Li4MnCo3O8 with its calculated PXRD pattern. Radiation: CuKα. Structure: a DFT-relaxed cell (PBE+U, the Materials Project).
Lines closer than 0.1° are merged.

Cell and atoms:
Lattice parameters (Å, degrees): 5.2790 2.8433 9.8045 90.00 96.04 90.00
Space group P2/m (No. 10)
One atom of each set of equivalent atoms:
Li1 0.0000 0.0000 0.0000 (multiplicity 1)
Li2 0.2480 0.5000 0.2505 (multiplicity 2)
Li3 0.5000 0.0000 0.5000 (multiplicity 1)
Mn1 0.5000 0.5000 0.0000 (multiplicity 1)
Co1 0.0000 0.5000 0.5000 (multiplicity 1)
Co2 0.2433 0.0000 0.7474 (multiplicity 2)
O1 0.1156 0.0000 0.3833 (multiplicity 2)
O2 0.1329 0.5000 0.8598 (multiplicity 2)
O3 0.3575 0.5000 0.6346 (multiplicity 2)
O4 0.3823 0.0000 0.1155 (multiplicity 2)

Principal peaks in the range 2θ from 5° to 70°, by angle:
index	2theta	d/Å	I/Imax
1 0 -1	18.33	4.840	100.0
1 0 3	33.93	2.642	20.7
0 1 2	36.59	2.456	24.4
1 1 1	37.58	2.393	9.4
2 0 2	40.72	2.216	32.3
1 1 -3	44.60	2.031	47.3
2 1 0	47.12	1.929	11.4
2 1 -4	58.70	1.573	9.3
1 1 5	61.78	1.502	15.3
3 1 -1	62.16	1.493	15.0



No. 2
This entry pairs a crystal structure of Li3MnCoO5 with its calculated PXRD pattern. Radiation: CuKα. Structure: a DFT-relaxed cell (PBE+U, the Materials Project).
Lines closer than 0.1° are merged.

Cell and atoms:
Lattice parameters (Å, degrees): 3.0343 5.0490 12.0708 96.92 92.52 92.27
Space group P-1 (No. 2)
One atom of each set of equivalent atoms:
Li1 0.0000 0.0000 0.0000 (multiplicity 1)
Li2 0.0968 0.7017 0.1993 (multiplicity 2)
Li3 0.3021 0.0987 0.6004 (multiplicity 2)
Li4 0.5000 0.5000 0.0000 (multiplicity 1)
Mn1 0.1962 0.3966 0.3971 (multiplicity 2)
Co1 0.4097 0.8071 0.8104 (multiplicity 2)
O1 0.0323 0.3401 0.1071 (multiplicity 2)
O2 0.1736 0.0673 0.2969 (multiplicity 2)
O3 0.2242 0.7330 0.4983 (multiplicity 2)
O4 0.3724 0.4832 0.7047 (multiplicity 2)
O5 0.4399 0.1184 0.8895 (multiplicity 2)

Principal peaks in the range 2θ from 5° to 70°, by angle:
index	2theta	d/Å	I/Imax
0 0 1	7.39	11.968	20.3
0 0 2	14.80	5.984	11.4
0 1 -1	18.35	4.835	100.0
1 0 2	33.83	2.650	22.5
1 0 -3	36.36	2.471	11.8
0 1 4	36.85	2.439	14.2
1 -1 3	40.51	2.227	39.4
1 1 -4	44.32	2.044	28.9
0 2 3	45.05	2.012	26.2
2 0 -1	61.34	1.511	9.4



No. 3
This entry pairs a crystal structure of Li7Mn2Co3O12 with its calculated PXRD pattern. Radiation: CuKα. Structure: a DFT-relaxed cell (PBE+U, the Materials Project).
Lines closer than 0.1° are merged.

Cell and atoms:
Lattice parameters (Å, degrees): 2.9764 7.6152 9.8691 101.32 91.73 99.83
Space group P1 (No. 1)
One atom of each set of equivalent atoms:
Li1 0.0000 0.0000 0.0000 (multiplicity 1)
Li2 0.0620 0.1570 0.7655 (multiplicity 1)
Li3 0.2509 0.5034 0.2591 (multiplicity 1)
Li4 0.4093 0.8411 0.7703 (multiplicity 1)
Li5 0.5617 0.1570 0.2538 (multiplicity 1)
Li6 0.7494 0.5023 0.7576 (multiplicity 1)
Li7 0.9080 0.8304 0.2570 (multiplicity 1)
Mn1 0.1568 0.3321 0.5074 (multiplicity 1)
Mn2 0.6502 0.3257 0.0092 (multiplicity 1)
Co1 0.3286 0.6807 0.0142 (multiplicity 1)
Co2 0.4849 0.9974 0.5089 (multiplicity 1)
Co3 0.8297 0.6684 0.5119 (multiplicity 1)
O1 0.0215 0.0881 0.3905 (multiplicity 1)
O2 0.1315 0.2614 0.1188 (multiplicity 1)
O3 0.1876 0.4208 0.9078 (multiplicity 1)
O4 0.2939 0.5753 0.6257 (multiplicity 1)
O5 0.3644 0.7577 0.3946 (multiplicity 1)
O6 0.4326 0.8916 0.1259 (multiplicity 1)
O7 0.5460 0.1029 0.8910 (multiplicity 1)
O8 0.5688 0.2390 0.6246 (multiplicity 1)
O9 0.7448 0.4276 0.3907 (multiplicity 1)
O10 0.7465 0.5789 0.1205 (multiplicity 1)
O11 0.8902 0.7349 0.8967 (multiplicity 1)
O12 0.9485 0.9074 0.6263 (multiplicity 1)

Principal peaks in the range 2θ from 5° to 70°, by angle:
index	2theta	d/Å	I/Imax
0 0 1	9.16	9.656	14.3
0 0 2	18.38	4.828	100.0
1 1 -1	35.03	2.562	17.4
1 -2 1	36.06	2.490	13.3
0 3 0	36.71	2.448	11.7
1 1 -3	42.12	2.145	33.0
1 -2 3	43.72	2.070	29.1
0 3 2	44.80	2.023	26.1
0 3 -6	62.21	1.492	8.4
2 -1 0	62.44	1.487	8.4



No. 4
This entry pairs a crystal structure of Li7Mn2Co3O12 with its calculated PXRD pattern. Radiation: CuKα. Structure: a DFT-relaxed cell (PBE+U, the Materials Project).
Lines closer than 0.1° are merged.

Cell and atoms:
Lattice parameters (Å, degrees): 29.2624 2.9006 5.1479 90.00 99.65 90.00
Space group C2/m (No. 12)
One atom of each set of equivalent atoms:
Li1 0.0000 0.0000 0.0000 (multiplicity 2)
Li2 0.0770 0.5000 0.9177 (multiplicity 4)
Li3 0.0790 0.0000 0.4222 (multiplicity 4)
Li4 0.2493 0.0000 0.2406 (multiplicity 4)
Mn1 0.1656 0.5000 0.3353 (multiplicity 4)
Co1 0.0000 0.5000 0.5000 (multiplicity 2)
Co2 0.1656 0.0000 0.8359 (multiplicity 4)
O1 0.0366 0.0000 0.6856 (multiplicity 4)
O2 0.0368 0.5000 0.2469 (multiplicity 4)
O3 0.1280 0.0000 0.1565 (multiplicity 4)
O4 0.1296 0.5000 0.6174 (multiplicity 4)
O5 0.2038 0.0000 0.5122 (multiplicity 4)
O6 0.2042 0.5000 0.0564 (multiplicity 4)

Principal peaks in the range 2θ from 5° to 70°, by angle:
index	2theta	d/Å	I/Imax
2 0 0	6.13	14.424	24.1
0 0 1	17.50	5.069	11.3
6 0 0	18.45	4.808	100.0
4 0 -2	35.48	2.530	14.1
1 1 1	36.06	2.491	27.0
10 0 -2	43.36	2.087	27.7
7 1 1	43.65	2.073	56.5
13 1 1	57.60	1.600	9.8
3 1 -3	62.93	1.477	15.0
17 1 -1	63.51	1.465	14.4



No. 5
This entry pairs a crystal structure of Li7Mn2Co3O12 with its calculated PXRD pattern. Radiation: CuKα. Structure: a DFT-relaxed cell (PBE+U, the Materials Project).
Lines closer than 0.1° are merged.

Cell and atoms:
Lattice parameters (Å, degrees): 2.9603 5.0896 14.4650 89.15 88.03 87.83
Space group P-1 (No. 2)
One atom of each set of equivalent atoms:
Li1 0.0000 0.0000 0.0000 (multiplicity 1)
Li2 0.0000 0.0000 0.5000 (multiplicity 1)
Li3 0.0088 0.6659 0.3430 (multiplicity 2)
Li4 0.5000 0.1583 0.3420 (multiplicity 2)
Li5 0.5000 0.5000 0.0000 (multiplicity 1)
Mn1 0.4983 0.1673 0.8313 (multiplicity 2)
Co1 0.0028 0.3328 0.1680 (multiplicity 2)
Co2 0.5000 0.5000 0.5000 (multiplicity 1)
O1 0.0180 0.3487 0.4276 (multiplicity 2)
O2 0.0285 0.3285 0.9115 (multiplicity 2)
O3 0.0293 0.9953 0.2477 (multiplicity 2)
O4 0.4818 0.1628 0.0909 (multiplicity 2)
O5 0.4827 0.5014 0.7573 (multiplicity 2)
O6 0.4934 0.7890 0.4264 (multiplicity 2)

Principal peaks in the range 2θ from 5° to 70°, by angle:
index	2theta	d/Å	I/Imax
0 0 1	6.11	14.455	24.2
0 0 3	18.41	4.818	100.0
1 1 1	34.86	2.574	16.8
0 2 -1	35.94	2.499	12.5
-1 1 1	36.39	2.469	12.1
1 1 4	42.08	2.147	32.0
0 2 -4	43.81	2.066	27.4
-1 1 4	44.33	2.043	26.8
1 -1 5	47.33	1.920	9.8
0 2 8	62.66	1.483	15.5



No. 6
This entry pairs a crystal structure of Li4MnCo2O7 with its calculated PXRD pattern. Radiation: CuKα. Structure: a DFT-relaxed cell (PBE+U, the Materials Project).
Lines closer than 0.1° are merged.

Cell and atoms:
Lattice parameters (Å, degrees): 5.1500 7.6583 7.6751 118.69 103.65 96.86
Space group P1 (No. 1)
One atom of each set of equivalent atoms:
Li1 0.0000 0.0000 0.0000 (multiplicity 1)
Li2 0.0014 0.2703 0.8529 (multiplicity 1)
Li3 0.0009 0.7094 0.1409 (multiplicity 1)
Li4 0.0038 0.1288 0.4178 (multiplicity 1)
Li5 0.0052 0.5642 0.7075 (multiplicity 1)
Li6 0.0087 0.8582 0.5729 (multiplicity 1)
Li7 0.5050 0.1345 0.9232 (multiplicity 1)
Li8 0.9929 0.4114 0.2677 (multiplicity 1)
Mn1 0.5041 0.4181 0.7808 (multiplicity 1)
Mn2 0.5041 0.7080 0.6384 (multiplicity 1)
Co1 0.4917 0.9932 0.4970 (multiplicity 1)
Co2 0.5021 0.2709 0.3396 (multiplicity 1)
Co3 0.5064 0.8504 0.0645 (multiplicity 1)
Co4 0.5069 0.5570 0.2048 (multiplicity 1)
O1 0.2614 0.9902 0.2521 (multiplicity 1)
O2 0.2661 0.7071 0.4019 (multiplicity 1)
O3 0.2675 0.2920 0.1203 (multiplicity 1)
O4 0.2691 0.1531 0.6760 (multiplicity 1)
O5 0.2796 0.4340 0.5451 (multiplicity 1)
O6 0.2902 0.5648 0.9517 (multiplicity 1)
O7 0.2934 0.8392 0.8168 (multiplicity 1)
O8 0.7163 0.8396 0.3014 (multiplicity 1)
O9 0.7196 0.2832 0.6047 (multiplicity 1)
O10 0.7265 0.5683 0.4633 (multiplicity 1)
O11 0.7312 0.1243 0.1792 (multiplicity 1)
O12 0.7310 0.9719 0.7217 (multiplicity 1)
O13 0.7367 0.4272 0.0205 (multiplicity 1)
O14 0.7371 0.6903 0.8650 (multiplicity 1)

Principal peaks in the range 2θ from 5° to 70°, by angle:
index	2theta	d/Å	I/Imax
1 0 0	18.43	4.815	100.0
-1 1 2	35.50	2.529	14.6
0 3 -1	36.29	2.475	13.1
0 2 -3	36.54	2.459	12.5
-2 1 2	42.81	2.112	29.8
1 3 -1	44.08	2.055	27.5
1 -2 3	44.34	2.043	26.7
3 2 -3	63.05	1.474	15.1
-1 4 1	63.18	1.472	8.0
0 5 -4	64.74	1.440	7.5



No. 7
This entry pairs a crystal structure of Li7Mn4CoO12 with its calculated PXRD pattern. Radiation: CuKα. Structure: a DFT-relaxed cell (PBE+U, the Materials Project).
Lines closer than 0.1° are merged.

Cell and atoms:
Lattice parameters (Å, degrees): 5.3144 2.8593 14.5800 90.00 92.35 90.00
Space group Pm (No. 6)
One atom of each set of equivalent atoms:
Li1 0.0000 0.0000 0.0000 (multiplicity 1)
Li2 0.0004 0.0000 0.4992 (multiplicity 1)
Li3 0.1601 0.5000 0.8426 (multiplicity 1)
Li4 0.3374 0.0000 0.1591 (multiplicity 1)
Li5 0.5007 0.5000 0.4978 (multiplicity 1)
Li6 0.6617 0.0000 0.8405 (multiplicity 1)
Li7 0.8386 0.5000 0.1584 (multiplicity 1)
Mn1 0.1681 0.5000 0.3319 (multiplicity 1)
Mn2 0.3302 0.0000 0.6658 (multiplicity 1)
Mn3 0.5006 0.5000 0.0003 (multiplicity 1)
Mn4 0.8311 0.5000 0.6672 (multiplicity 1)
Co1 0.6691 0.0000 0.3330 (multiplicity 1)
O1 0.0170 0.0000 0.2566 (multiplicity 1)
O2 0.1861 0.5000 0.5877 (multiplicity 1)
O3 0.2086 0.5000 0.0753 (multiplicity 1)
O4 0.3133 0.0000 0.4095 (multiplicity 1)
O5 0.3488 0.0000 0.9244 (multiplicity 1)
O6 0.4773 0.5000 0.7411 (multiplicity 1)
O7 0.5208 0.5000 0.2617 (multiplicity 1)
O8 0.6506 0.0000 0.0757 (multiplicity 1)
O9 0.6894 0.0000 0.5883 (multiplicity 1)
O10 0.7924 0.5000 0.9252 (multiplicity 1)
O11 0.8149 0.5000 0.4076 (multiplicity 1)
O12 0.9790 0.0000 0.7434 (multiplicity 1)

Principal peaks in the range 2θ from 5° to 70°, by angle:
index	2theta	d/Å	I/Imax
0 0 1	6.07	14.568	34.9
0 0 3	18.27	4.856	100.0
2 0 -1	34.08	2.631	18.1
1 1 1	36.33	2.473	22.8
2 0 -4	41.25	2.189	34.6
1 1 4	44.13	2.052	55.9
1 1 -5	47.26	1.923	13.1
1 1 7	58.05	1.589	9.6
3 1 0	61.63	1.505	16.7
1 1 -8	62.35	1.489	16.3



No. 8
This entry pairs a crystal structure of Li7Mn2Co3O12 with its calculated PXRD pattern. Radiation: CuKα. Structure: a DFT-relaxed cell (PBE+U, the Materials Project).
Lines closer than 0.1° are merged.

Cell and atoms:
Lattice parameters (Å, degrees): 29.1540 2.9251 5.1211 90.00 99.13 90.00
Space group Cm (No. 8)
One atom of each set of equivalent atoms:
Li1 0.0000 0.0000 0.0000 (multiplicity 2)
Li2 0.0007 0.5000 0.5022 (multiplicity 2)
Li3 0.1733 0.0000 0.8288 (multiplicity 2)
Li4 0.1738 0.5000 0.3340 (multiplicity 2)
Li5 0.3435 0.5000 0.1569 (multiplicity 2)
Li6 0.3448 0.0000 0.6684 (multiplicity 2)
Li7 0.4226 0.0000 0.0827 (multiplicity 2)
Mn1 0.0885 0.0000 0.4173 (multiplicity 2)
Mn2 0.2564 0.0000 0.2463 (multiplicity 2)
Co1 0.0885 0.5000 0.9180 (multiplicity 2)
Co2 0.2574 0.5000 0.7478 (multiplicity 2)
Co3 0.4226 0.5000 0.5833 (multiplicity 2)
O1 0.0505 0.5000 0.2440 (multiplicity 2)
O2 0.0527 0.0000 0.7050 (multiplicity 2)
O3 0.1258 0.0000 0.1300 (multiplicity 2)
O4 0.1269 0.5000 0.5909 (multiplicity 2)
O5 0.2185 0.0000 0.5280 (multiplicity 2)
O6 0.2183 0.5000 0.0650 (multiplicity 2)
O7 0.2935 0.5000 0.4220 (multiplicity 2)
O8 0.2950 0.0000 0.9701 (multiplicity 2)
O9 0.3854 0.5000 0.8335 (multiplicity 2)
O10 0.3855 0.0000 0.3933 (multiplicity 2)
O11 0.4595 0.5000 0.3301 (multiplicity 2)
O12 0.4605 0.0000 0.7770 (multiplicity 2)

Principal peaks in the range 2θ from 5° to 70°, by angle:
index	2theta	d/Å	I/Imax
2 0 0	6.14	14.392	25.0
6 0 0	18.49	4.797	100.0
4 0 -2	35.73	2.513	13.6
1 1 1	35.85	2.505	26.8
7 1 1	43.44	2.083	58.4
10 0 -2	43.75	2.069	28.3
11 1 -1	47.97	1.896	8.8
13 1 1	57.42	1.605	10.2
3 1 -3	63.06	1.474	15.3
0 2 0	63.63	1.462	22.9